Structure and calculated powder X-ray diffraction pattern of Sm2In2PdPt3 (a GGA-PBE-relaxed structure; λ = 1.5418 Å (Cu Kα)).
No peak broadening, texture or thermal motion is included.

Peak list (12 most intense, 10° ≤ 2θ ≤ 90°, in order of falling intensity)
hkl	2θ (°)	I/Imax
0 1 3	36.92	100.0
1 1 0	38.98	88.5
2 0 3	54.77	32.4
1 2 3	69.26	32.1
1 0 0	22.21	17.8
3 0 0	70.60	15.4
0 1 2	29.58	15.2
1 0 6	65.14	13.9
1 1 6	74.22	10.0
2 2 0	83.71	9.9
0 2 6	78.59	8.1
0 0 2	19.29	7.6

Structure:
Cell lengths 4.6214, 4.6214, 9.2013 Å; angles 90.00, 90.00, 120.00 degrees
Space group P3m1 (No. 156)
Unique sites:
Sm 0.0000 0.0000 0.0000 [1 per cell]
Sm 0.3333 0.6667 0.4946 [1 per cell]
In 0.6667 0.3333 0.2489 [1 per cell]
In 0.6667 0.3333 0.7507 [1 per cell]
Pd 0.0000 0.0000 0.6619 [1 per cell]
Pt 0.0000 0.0000 0.3401 [1 per cell]
Pt 0.3333 0.6667 0.1591 [1 per cell]
Pt 0.3333 0.6667 0.8319 [1 per cell]